# 1
Diffraction record for Ba2US2N2. The powder XRD pattern is theoretical, not measured: it uses a cell relaxed with GGA-PBE and Cu Ka.
Lines closer than 0.1° are merged.

Largest 10 diffraction maxima, by angle, 5° ≤ 2θ ≤ 70°:
d/Å	2theta	I (rel.)
8.261	10.71	42.6
3.429	25.98	100.0
3.099	28.81	75.4
2.754	32.51	18.5
2.638	33.98	46.3
2.191	41.20	34.6
2.058	43.99	24.5
1.846	49.36	36.8
1.715	53.44	17.4
1.686	54.43	24.3

Structure:
```
Ba2US2N2
1.0
-2.1911 2.1911 8.2613
2.1911 -2.1911 8.2613
2.1911 2.1911 -8.2613
Ba U S N
2 1 2 2
direct
0.1367 0.1367 0.0000
0.8633 0.8633 0.0000
0.5000 0.5000 0.0000
0.3352 0.3352 0.0000
0.6648 0.6648 0.0000
0.0000 0.5000 0.5000
0.5000 0.0000 0.5000
```

---

# 2
Diffraction record for CaAl2Se. The powder XRD pattern is theoretical, not measured: it uses a cell relaxed with GGA-PBE and Cu Ka.
Lines closer than 0.1° are merged.

Largest 10 diffraction maxima, by angle, 5° ≤ 2θ ≤ 70°:
d/Å	2theta	I (rel.)
5.328	16.64	30.8
4.011	22.16	25.9
3.398	26.22	19.8
3.093	28.87	17.1
2.748	32.58	100.0
2.612	34.34	35.4
2.317	38.87	64.3
2.279	39.54	31.6
2.202	40.99	20.0
1.831	49.79	16.2

Structure:
```
CaAl2Se
1.0
4.7177 -1.8312 0.0000
4.7177 1.8312 0.0000
-1.4195 0.0000 5.3283
Ca Al Se
1 2 1
direct
0.0000 0.0000 0.0000
0.4944 0.4944 0.4806
0.7653 0.7653 0.3680
0.2540 0.2540 0.7234
```

---

# 3
Diffraction record for Sm7ErIn2. The powder XRD pattern is theoretical, not measured: it uses a cell relaxed with GGA-PBE and Cu Ka.
Lines closer than 0.1° are merged.

Largest 10 diffraction maxima, by angle, 5° ≤ 2θ ≤ 70°:
d/Å	2theta	I (rel.)
7.999	11.06	25.2
5.375	16.49	41.1
4.462	19.90	30.1
3.194	27.93	54.5
3.017	29.61	71.4
2.688	33.34	56.9
2.643	33.92	78.1
2.624	34.18	100.0
2.006	45.21	57.5
1.535	60.28	27.3

Structure:
```
Sm7ErIn2
1.0
4.6384 -7.9428 0.0000
4.6384 7.9428 0.0000
0.0000 0.0000 5.3750
Sm Er In
7 1 2
direct
0.0000 0.0000 0.0000
0.1987 0.4384 0.0000
0.2770 0.7230 0.5000
0.4384 0.1987 0.0000
0.5616 0.8013 0.0000
0.7230 0.2770 0.5000
0.8013 0.5616 0.0000
0.5000 0.5000 0.5000
0.1954 0.8046 0.0000
0.8046 0.1954 0.0000
```

---

Copy entry 1 word for word.
Diffraction record for Ba2US2N2. The powder XRD pattern is theoretical, not measured: it uses a cell relaxed with GGA-PBE and Cu Ka.
Lines closer than 0.1° are merged.

Largest 10 diffraction maxima, by angle, 5° ≤ 2θ ≤ 70°:
d/Å	2theta	I (rel.)
8.261	10.71	42.6
3.429	25.98	100.0
3.099	28.81	75.4
2.754	32.51	18.5
2.638	33.98	46.3
2.191	41.20	34.6
2.058	43.99	24.5
1.846	49.36	36.8
1.715	53.44	17.4
1.686	54.43	24.3

Structure:
```
Ba2US2N2
1.0
-2.1911 2.1911 8.2613
2.1911 -2.1911 8.2613
2.1911 2.1911 -8.2613
Ba U S N
2 1 2 2
direct
0.1367 0.1367 0.0000
0.8633 0.8633 0.0000
0.5000 0.5000 0.0000
0.3352 0.3352 0.0000
0.6648 0.6648 0.0000
0.0000 0.5000 0.5000
0.5000 0.0000 0.5000
```